This entry pairs a crystal structure of Ce4TmPu3S8 with its simulated powder X-ray diffraction pattern. Radiation: λ = 1.5418 Å (Cu Kα). Structure: the GGA-PBE geometry in Alexandria.
Neutral-atom scattering factors, no anomalous dispersion.

Largest 12 diffraction maxima, by angle, 2θ from 10° to 80°:
- (0 0 1), 12.59 deg, I 9
- (0 0 2), 25.35 deg, I 24
- (2 0 0), 26.43 deg, I 82
- (2 0 1), 29.38 deg, I 11
- (2 0 2), 36.94 deg, I 100
- (2 2 0), 46.65 deg, I 30
- (2 2 2), 53.83 deg, I 20
- (4 0 0), 54.42 deg, I 12
- (0 2 4), 59.31 deg, I 18
- (0 4 2), 60.95 deg, I 23
- (2 2 4), 72.46 deg, I 16
- (4 2 0), 74.44 deg, I 9

Crystal structure
a b c (Å): 7.7876 7.7876 7.0282
angles (deg): 90.00 90.00 120.00
Positions (direct):
Ce1 0.0000 0.0000 0.0000
Ce2 0.0000 0.5000 0.0000
Ce3 0.5000 0.0000 0.0000
Ce4 0.5000 0.5000 0.0000
Tm1 0.0000 0.0000 0.5000
Pu1 0.0000 0.5000 0.5000
Pu2 0.5000 0.0000 0.5000
Pu3 0.5000 0.5000 0.5000
S1 0.1633 0.3266 0.2623
S2 0.1633 0.8367 0.2623
S3 0.3266 0.1633 0.7377
S4 0.3333 0.6667 0.7406
S5 0.6667 0.3333 0.2594
S6 0.6734 0.8367 0.2623
S7 0.8367 0.1633 0.7377
S8 0.8367 0.6734 0.7377